For Sm4Dy8Er3, a DFT-relaxed cell (PBE, Alexandria) gives the computed XRD peak list in this record (a wavelength of 1.5418 Å).
Peak positions follow from Bragg's law for the DFT cell and can differ from measured ones.

Peak list (10 most intense, 10 to 80 degrees two-theta, in order of rising 2θ)
- 3.196 Å, 2θ 27.92, I 36, (0 4 0)
- 2.911 Å, 2θ 30.71, I 100, (4 0 -2)
- 2.892 Å, 2θ 30.92, I 47, (4 0 0)
- 2.800 Å, 2θ 31.96, I 29, (2 4 -1)
- 2.311 Å, 2θ 38.97, I 12, (2 4 1)
- 2.152 Å, 2θ 41.98, I 46, (4 4 -2)
- 2.144 Å, 2θ 42.14, I 22, (4 4 0)
- 1.685 Å, 2θ 54.46, I 11, (4 0 -4)
- 1.401 Å, 2θ 66.75, I 10, (0 8 2)
- 1.400 Å, 2θ 66.85, I 20, (4 8 -2)

abc: 13.367 12.784 6.739
angles: 90.00 120.08 90.00
Space group C2/m (No. 12)
One atom of each set of equivalent atoms:
Sm 0.000 0.000 0.000 x2
Sm 0.000 0.000 0.500 x2
Sm 0.250 0.250 0.000 x4
Dy 0.000 0.255 0.000 x4
Dy 0.000 0.361 0.500 x4
Dy 0.229 0.500 0.960 x4
Dy 0.234 0.500 0.487 x4
Er 0.000 0.500 0.000 x2
Er 0.250 0.250 0.500 x4

---

For CeMg2Be2O6, a DFT-relaxed cell (PBE, Alexandria) gives the computed XRD peak list in this record (a wavelength of 1.5418 Å).
Peak positions follow from Bragg's law for the DFT cell and can differ from measured ones.

Peak list (10 most intense, 10 to 80 degrees two-theta, in order of rising 2θ)
- 5.498 Å, 2θ 16.12, I 25, (0 0 1)
- 4.497 Å, 2θ 19.74, I 35, (1 0 0)
- 3.481 Å, 2θ 25.59, I 100, (0 1 1)
- 2.596 Å, 2θ 34.54, I 23, (1 1 0)
- 2.346 Å, 2θ 38.36, I 60, (1 0 2)
- 2.081 Å, 2θ 43.48, I 26, (2 0 1)
- 1.888 Å, 2θ 48.21, I 23, (2 -1 2)
- 1.698 Å, 2θ 53.99, I 17, (0 1 3)
- 1.624 Å, 2θ 56.68, I 23, (1 2 1)
- 1.498 Å, 2θ 61.94, I 23, (3 0 0)

abc: 5.1928 5.1928 5.4982
angles: 90.00 90.00 120.00
Space group P-3 (No. 147)
One atom of each set of equivalent atoms:
Ce 0.0000 0.0000 0.0000 x1
Mg 0.3333 0.6667 0.3836 x2
Be 0.3333 0.6667 0.8156 x2
O 0.0385 0.6616 0.7580 x6

---

For YAlPd4, a DFT-relaxed cell (PBE, Alexandria) gives the computed XRD peak list in this record (a wavelength of 1.5418 Å).
Peak positions follow from Bragg's law for the DFT cell and can differ from measured ones.

Peak list (10 most intense, 10 to 80 degrees two-theta, in order of rising 2θ)
- 2.819 Å, 2θ 31.74, I 22, (6 0 -1)
- 2.688 Å, 2θ 33.33, I 16, (3 1 1)
- 2.660 Å, 2θ 33.69, I 19, (2 0 -2)
- 2.353 Å, 2θ 38.25, I 46, (0 2 0)
- 2.294 Å, 2θ 39.28, I 46, (3 1 -2)
- 2.178 Å, 2θ 41.45, I 100, (5 1 1)
- 2.137 Å, 2θ 42.30, I 20, (1 1 2)
- 1.807 Å, 2θ 50.52, I 12, (6 2 -1)
- 1.763 Å, 2θ 51.87, I 11, (2 2 -2)
- 1.322 Å, 2θ 71.32, I 19, (5 3 1)

abc: 17.442 4.707 5.320
angles: 90.00 107.64 90.00
Space group C2/m (No. 12)
One atom of each set of equivalent atoms:
Y 0.250 0.000 0.218 x4
Al 0.000 0.000 0.500 x2
Al 0.000 0.500 0.000 x2
Pd 0.077 0.000 0.985 x4
Pd 0.077 0.500 0.669 x4
Pd 0.154 0.000 0.567 x4
Pd 0.154 0.500 0.241 x4

---

For Pu3TlHg4, a DFT-relaxed cell (PBE, Alexandria) gives the computed XRD peak list in this record (a wavelength of 1.5418 Å).
Peak positions follow from Bragg's law for the DFT cell and can differ from measured ones.

Peak list (10 most intense, 10 to 80 degrees two-theta, in order of rising 2θ)
- 2.678 Å, 2θ 33.46, I 100, (0 1 8)
- 2.653 Å, 2θ 33.79, I 100, (1 1 0)
- 1.967 Å, 2θ 46.16, I 2, (1 1 9)
- 1.885 Å, 2θ 48.29, I 36, (2 0 8)
- 1.551 Å, 2θ 59.59, I 18, (1 0 16)
- 1.536 Å, 2θ 60.23, I 38, (1 2 8)
- 1.532 Å, 2θ 60.44, I 19, (3 0 0)
- 1.470 Å, 2θ 63.28, I 1, (0 1 17)
- 1.339 Å, 2θ 70.29, I 11, (0 2 16)
- 1.326 Å, 2θ 71.07, I 12, (2 2 0)

abc: 5.3056 5.3056 26.3701
angles: 90.00 90.00 120.00
Space group R-3m (No. 166, hexagonal axes)
One atom of each set of equivalent atoms:
Pu 0.0000 0.0000 0.0000 x3
Pu 0.0000 0.0000 0.2461 x6
Tl 0.0000 0.0000 0.5000 x3
Hg 0.0000 0.0000 0.1218 x6
Hg 0.0000 0.0000 0.3702 x6

---

For La2InCuS5, a DFT-relaxed cell (PBE, Alexandria) gives the computed XRD peak list in this record (a wavelength of 1.5418 Å).
Peak positions follow from Bragg's law for the DFT cell and can differ from measured ones.

Peak list (10 most intense, 10 to 80 degrees two-theta, in order of rising 2θ)
- 3.786 Å, 2θ 23.50, I 42, (3 0 1)
- 3.282 Å, 2θ 27.17, I 33, (2 1 0)
- 3.248 Å, 2θ 27.46, I 31, (1 0 5)
- 3.128 Å, 2θ 28.54, I 33, (1 1 3)
- 2.809 Å, 2θ 31.85, I 100, (1 1 4)
- 2.754 Å, 2θ 32.51, I 39, (4 0 2)
- 2.638 Å, 2θ 33.98, I 28, (3 1 2)
- 2.355 Å, 2θ 38.21, I 29, (2 1 5)
- 1.986 Å, 2θ 45.68, I 51, (0 2 0)
- 1.956 Å, 2θ 46.43, I 32, (5 1 2)

abc: 11.653 3.972 16.910
angles: 90.00 90.00 90.00
Space group Pnma (No. 62)
One atom of each set of equivalent atoms:
La 0.021 0.250 0.178 x4
La 0.136 0.750 0.593 x4
In 0.194 0.750 0.361 x4
Cu 0.086 0.750 0.999 x4
S 0.014 0.250 0.695 x4
S 0.101 0.250 0.926 x4
S 0.112 0.250 0.463 x4
S 0.183 0.750 0.116 x4
S 0.240 0.750 0.772 x4

---

For ErRe3N8, a DFT-relaxed cell (PBE, Alexandria) gives the computed XRD peak list in this record (a wavelength of 1.5418 Å).
Peak positions follow from Bragg's law for the DFT cell and can differ from measured ones.

Peak list (10 most intense, 10 to 80 degrees two-theta, in order of rising 2θ)
- 4.978 Å, 2θ 17.82, I 23, (1 0 0)
- 3.879 Å, 2θ 22.93, I 91, (0 1 1)
- 2.874 Å, 2θ 31.12, I 100, (1 1 0)
- 2.628 Å, 2θ 34.12, I 77, (1 0 2)
- 1.939 Å, 2θ 46.84, I 39, (0 2 2)
- 1.800 Å, 2θ 50.71, I 23, (1 2 1)
- 1.659 Å, 2θ 55.37, I 20, (3 0 0)
- 1.608 Å, 2θ 57.31, I 38, (2 1 2)
- 1.437 Å, 2θ 64.88, I 15, (2 2 0)
- 1.261 Å, 2θ 75.38, I 17, (1 3 2)

abc: 5.7483 5.7483 6.1888
angles: 90.00 90.00 120.00
Space group P-3m1 (No. 164)
One atom of each set of equivalent atoms:
Er 0.0000 0.0000 0.0000 x1
Re 0.0000 0.0000 0.5000 x1
Re 0.3333 0.6667 0.7838 x2
N 0.1556 0.3112 0.6956 x6
N 0.3333 0.6667 0.0653 x2

---

For KRb2Na, a DFT-relaxed cell (PBE, Alexandria) gives the computed XRD peak list in this record (a wavelength of 1.5418 Å).
Peak positions follow from Bragg's law for the DFT cell and can differ from measured ones.

Peak list (10 most intense, 10 to 80 degrees two-theta, in order of rising 2θ)
- 5.984 Å, 2θ 14.80, I 25, (0 2 0)
- 4.956 Å, 2θ 17.90, I 26, (0 0 2)
- 3.817 Å, 2θ 23.31, I 96, (0 2 2)
- 3.740 Å, 2θ 23.79, I 100, (2 2 0)
- 3.701 Å, 2θ 24.05, I 24, (0 3 1)
- 3.444 Å, 2θ 25.87, I 83, (2 0 2)
- 2.988 Å, 2θ 29.90, I 43, (0 4 0)
- 2.259 Å, 2θ 39.91, I 31, (2 4 2)
- 2.066 Å, 2θ 43.83, I 26, (2 2 4)
- 2.029 Å, 2θ 44.67, I 32, (4 2 2)

abc: 9.581 11.967 9.912
angles: 90.00 90.00 90.00
Space group Imma (No. 74)
One atom of each set of equivalent atoms:
K 0.000 0.250 0.052 x4
Rb 0.250 0.031 0.750 x8
Na 0.000 0.250 0.473 x4

---

For PrThRh2, a DFT-relaxed cell (PBE, Alexandria) gives the computed XRD peak list in this record (a wavelength of 1.5418 Å).
Peak positions follow from Bragg's law for the DFT cell and can differ from measured ones.

Peak list (10 most intense, 10 to 80 degrees two-theta, in order of rising 2θ)
- 3.412 Å, 2θ 26.12, I 14, (0 1 1)
- 2.803 Å, 2θ 31.93, I 100, (1 1 0)
- 2.749 Å, 2θ 32.57, I 37, (0 0 2)
- 2.324 Å, 2θ 38.75, I 14, (0 1 2)
- 2.277 Å, 2θ 39.57, I 30, (1 1 1)
- 2.270 Å, 2θ 39.70, I 30, (1 1 -2)
- 2.175 Å, 2θ 41.51, I 26, (0 2 0)
- 1.944 Å, 2θ 46.73, I 18, (2 0 -1)
- 1.706 Å, 2θ 53.73, I 18, (0 2 2)
- 1.449 Å, 2θ 64.26, I 14, (2 2 -1)

abc: 3.888 4.351 5.824
angles: 90.00 109.25 90.00
Space group Pm (No. 6)
One atom of each set of equivalent atoms:
Pr 0.000 0.000 0.000 x1
Th 0.275 0.500 0.547 x1
Rh 0.547 0.500 0.094 x1
Rh 0.732 0.000 0.464 x1

---

For Cd8InPt6, a DFT-relaxed cell (PBE, Alexandria) gives the computed XRD peak list in this record (a wavelength of 1.5418 Å).
Peak positions follow from Bragg's law for the DFT cell and can differ from measured ones.

Peak list (10 most intense, 10 to 80 degrees two-theta, in order of rising 2θ)
- 5.602 Å, 2θ 15.82, I 21, (0 0 3)
- 3.978 Å, 2θ 22.35, I 26, (1 1 0)
- 3.243 Å, 2θ 27.50, I 15, (1 1 3)
- 2.297 Å, 2θ 39.23, I 88, (3 0 0)
- 2.290 Å, 2θ 39.34, I 100, (1 1 6)
- 2.125 Å, 2θ 42.54, I 11, (3 0 3)
- 1.690 Å, 2θ 54.27, I 5, (1 1 9)
- 1.622 Å, 2θ 56.77, I 34, (4 -2 6)
- 1.325 Å, 2θ 71.15, I 49, (3 3 0)
- 1.321 Å, 2θ 71.41, I 12, (2 -1 12)

abc: 7.9559 7.9559 16.8050
angles: 90.00 90.00 120.00
Space group R-3 (No. 148, hexagonal axes)
One atom of each set of equivalent atoms:
Cd 0.0000 0.0000 0.1669 x6
Cd 0.0021 0.6601 0.3799 x18
In 0.0000 0.0000 0.5000 x3
Pt 0.0006 0.6722 0.5485 x18

---

For SiTcIrAu2C, a DFT-relaxed cell (PBE, Alexandria) gives the computed XRD peak list in this record (a wavelength of 1.5418 Å).
Peak positions follow from Bragg's law for the DFT cell and can differ from measured ones.

Peak list (10 most intense, 10 to 80 degrees two-theta, in order of rising 2θ)
- 6.105 Å, 2θ 14.51, I 37, (0 0 1)
- 2.785 Å, 2θ 32.14, I 15, (1 0 0)
- 2.410 Å, 2θ 37.32, I 54, (0 2 1)
- 2.385 Å, 2θ 37.72, I 100, (1 1 2)
- 2.373 Å, 2θ 37.91, I 48, (0 1 -2)
- 2.091 Å, 2θ 43.27, I 64, (1 2 0)
- 2.025 Å, 2θ 44.76, I 28, (0 1 3)
- 1.463 Å, 2θ 63.61, I 19, (1 3 3)
- 1.446 Å, 2θ 64.42, I 20, (1 0 4)
- 1.253 Å, 2θ 75.93, I 24, (2 0 3)

abc: 2.951 5.130 6.400
angles: 75.43 76.76 73.32
Space group P1 (No. 1)
One atom of each set of equivalent atoms:
Si 0.000 0.000 0.000 x1
Tc 0.136 0.526 0.204 x1
Ir 0.720 0.730 0.827 x1
Au 0.332 0.911 0.425 x1
Au 0.536 0.329 0.601 x1
C 0.796 0.359 0.046 x1

---

For Na2Cu3F10, a DFT-relaxed cell (PBE, Alexandria) gives the computed XRD peak list in this record (a wavelength of 1.5418 Å).
Peak positions follow from Bragg's law for the DFT cell and can differ from measured ones.

Peak list (10 most intense, 10 to 80 degrees two-theta, in order of rising 2θ)
- 8.294 Å, 2θ 10.67, I 32, (2 0 0)
- 5.543 Å, 2θ 15.99, I 76, (1 1 0)
- 4.024 Å, 2θ 22.09, I 47, (3 1 -1)
- 3.567 Å, 2θ 24.96, I 100, (0 0 2)
- 3.146 Å, 2θ 28.37, I 55, (3 1 -2)
- 3.057 Å, 2θ 29.21, I 37, (5 1 -1)
- 2.994 Å, 2θ 29.85, I 51, (6 0 -1)
- 2.098 Å, 2θ 43.12, I 57, (6 2 -1)
- 1.759 Å, 2θ 51.98, I 28, (8 2 -2)
- 1.373 Å, 2θ 68.32, I 28, (8 2 2)

abc: 17.961 5.881 7.725
angles: 90.00 112.55 90.00
Space group C2/m (No. 12)
One atom of each set of equivalent atoms:
Na 0.119 0.000 0.178 x4
Na 0.220 0.000 0.870 x4
Cu 0.000 0.245 0.500 x4
Cu 0.079 0.500 0.977 x4
Cu 0.183 0.500 0.521 x4
F 0.000 0.277 0.000 x4
F 0.017 0.000 0.682 x4
F 0.022 0.500 0.685 x4
F 0.112 0.250 0.538 x8
F 0.131 0.500 0.261 x4
F 0.151 0.268 0.982 x8
F 0.240 0.500 0.774 x4
F 0.250 0.250 0.500 x4

---

For In6BiPb3, a DFT-relaxed cell (PBE, Alexandria) gives the computed XRD peak list in this record (a wavelength of 1.5418 Å).
Peak positions follow from Bragg's law for the DFT cell and can differ from measured ones.

Peak list (10 most intense, 10 to 80 degrees two-theta, in order of rising 2θ)
- 2.816 Å, 2θ 31.78, I 100, (3 1 -2)
- 2.740 Å, 2θ 32.68, I 86, (1 1 3)
- 2.560 Å, 2θ 35.05, I 42, (0 2 0)
- 2.388 Å, 2θ 37.67, I 30, (4 0 1)
- 2.291 Å, 2θ 39.33, I 23, (2 0 -5)
- 1.746 Å, 2θ 52.40, I 22, (4 2 1)
- 1.707 Å, 2θ 53.69, I 19, (2 2 -5)
- 1.523 Å, 2θ 60.84, I 16, (3 3 -2)
- 1.510 Å, 2θ 61.39, I 14, (1 3 3)
- 1.459 Å, 2θ 63.80, I 10, (7 1 -1)

abc: 10.759 5.120 11.619
angles: 90.00 105.56 90.00
Space group P2_1/m (No. 11)
One atom of each set of equivalent atoms:
In 0.016 0.250 0.383 x2
In 0.107 0.250 0.042 x2
In 0.268 0.750 0.507 x2
In 0.364 0.250 0.938 x2
In 0.419 0.750 0.791 x2
In 0.473 0.250 0.602 x2
Bi 0.183 0.250 0.660 x2
Pb 0.078 0.750 0.227 x2
Pb 0.316 0.250 0.313 x2
Pb 0.341 0.750 0.112 x2